No. 1
Simulated powder X-ray diffraction pattern
Compound: Cs2TbO3
Radiation: λ = 1.5418 Å (Cu Kα)
Structure: a cell relaxed with GGA-PBE

Most intense lines, 5° ≤ 2θ ≤ 70°, sorted by position:
d_spacing  2θ/deg  intensity
3.483  25.58  51
3.337  26.72  100
3.240  27.53  52
3.068  29.11  99
2.372  37.92  50
2.049  44.21  28
1.682  54.57  27
1.669  55.03  28

Cell and atoms:
```
Cs2TbO3
1.0
5.842 -3.892 0.000
5.842 3.892 0.000
0.000 0.000 6.481
Cs Tb O
4 2 6
Cartesian
1.911 1.115 0.000
1.911 -1.115 3.241
9.772 1.115 0.000
9.772 -1.115 3.241
5.842 0.716 0.189
5.842 -0.716 3.430
5.842 2.802 0.641
4.435 0.156 4.955
4.435 -0.156 1.714
7.248 0.156 4.955
7.248 -0.156 1.714
5.842 -2.802 3.882
```

=====

No. 2
Simulated powder X-ray diffraction pattern
Compound: Na5In2Te6
Radiation: λ = 1.5418 Å (Cu Kα)
Structure: a cell relaxed with GGA-PBE

Most intense lines, 5° ≤ 2θ ≤ 70°, sorted by position:
d_spacing  2θ/deg  intensity
6.498  13.63  56
3.981  22.33  52
3.738  23.80  66
3.528  25.24  100
2.868  31.18  52
2.285  39.44  79
2.163  41.75  63
2.100  43.07  81

Cell and atoms:
```
Na5In2Te6
1.0
4.570 -7.745 0.000
4.570 7.745 0.000
0.000 0.000 23.885
Na In Te
20 8 24
Cartesian
2.337 3.902 0.000
2.204 2.733 19.986
1.753 1.928 5.948
2.387 1.234 15.818
2.271 0.046 23.819
2.271 -0.046 11.877
1.753 -1.928 17.891
2.387 -1.234 3.875
2.204 -2.733 8.043
6.803 3.902 0.000
2.337 -3.902 11.943
6.936 2.733 19.986
6.753 1.234 15.818
7.388 1.928 5.948
6.869 0.046 23.819
6.869 -0.046 11.877
6.753 -1.234 3.875
7.388 -1.928 17.891
6.936 -2.733 8.043
6.803 -3.902 11.943
4.570 7.554 20.759
4.570 4.119 14.966
4.570 3.350 3.145
4.570 0.524 8.807
4.570 -0.524 20.750
4.570 -3.350 15.088
4.570 -4.119 3.023
4.570 -7.554 8.816
4.570 7.010 6.143
2.171 2.017 9.313
2.209 1.825 2.596
4.570 5.744 1.765
4.570 5.737 10.509
4.570 3.404 6.027
4.570 3.165 17.646
2.209 -1.825 14.539
2.171 -2.017 21.256
4.570 1.895 13.295
4.570 1.895 22.095
4.570 0.475 5.926
4.570 -0.475 17.869
4.570 -1.895 1.352
4.570 -1.895 10.152
6.970 2.017 9.313
6.932 1.825 2.596
4.570 -3.165 5.703
4.570 -3.404 17.969
4.570 -5.737 22.452
4.570 -5.744 13.707
6.932 -1.825 14.539
6.970 -2.017 21.256
4.570 -7.010 18.086
```

=====

No. 3
Simulated powder X-ray diffraction pattern
Compound: Ba4Cd11Ge12
Radiation: λ = 1.5418 Å (Cu Kα)
Structure: a cell relaxed with GGA-PBE

Most intense lines, 5° ≤ 2θ ≤ 70°, sorted by position:
d_spacing  2θ/deg  intensity
3.337  26.72  36
3.206  27.83  14
3.089  28.90  100
2.725  32.87  23
1.982  45.77  42
1.927  47.18  21
1.875  48.55  43
1.468  63.36  13

Cell and atoms:
```
Ba4Cd11Ge12
1.0
11.559 0.000 0.000
0.000 11.559 0.000
0.000 0.000 11.559
Ba Cd Ge
8 22 24
Cartesian
0.000 0.000 0.000
0.000 2.890 5.780
0.000 8.669 5.780
2.890 5.780 0.000
5.780 0.000 2.890
5.780 0.000 8.669
5.780 5.780 5.780
8.669 5.780 0.000
0.000 5.780 2.890
0.000 5.780 8.669
2.068 2.068 2.068
2.068 2.068 9.492
2.068 9.492 2.068
2.068 9.492 9.492
2.890 0.000 5.780
3.712 3.712 3.712
3.712 3.712 7.847
3.712 7.847 3.712
3.712 7.847 7.847
5.780 2.890 0.000
5.780 8.669 0.000
7.847 3.712 3.712
7.847 3.712 7.847
7.847 7.847 3.712
7.847 7.847 7.847
8.669 0.000 5.780
9.492 2.068 2.068
9.492 2.068 9.492
9.492 9.492 2.068
9.492 9.492 9.492
0.000 3.666 1.212
0.000 3.666 10.347
0.000 7.893 1.212
0.000 7.893 10.347
1.212 0.000 3.666
1.212 0.000 7.893
2.113 5.780 4.567
2.113 5.780 6.992
3.666 1.212 0.000
3.666 10.347 0.000
4.567 2.113 5.780
4.567 9.446 5.780
5.780 4.567 2.113
5.780 4.567 9.446
5.780 6.992 2.113
5.780 6.992 9.446
6.992 2.113 5.780
6.992 9.446 5.780
7.893 1.212 0.000
7.893 10.347 0.000
9.446 5.780 4.567
9.446 5.780 6.992
10.347 0.000 3.666
10.347 0.000 7.893
```

=====

No. 4
Simulated powder X-ray diffraction pattern
Compound: LiSbRh2
Radiation: λ = 1.5418 Å (Cu Kα)
Structure: a cell relaxed with GGA-PBE

Most intense lines, 5° ≤ 2θ ≤ 70°, sorted by position:
d_spacing  2θ/deg  intensity
3.578  24.88  30
3.099  28.81  9
2.191  41.20  100
1.869  48.73  14
1.789  51.05  2
1.549  59.68  16
1.422  65.67  6
1.386  67.60  3

Cell and atoms:
```
LiSbRh2
1.0
6.198 0.000 0.000
0.000 6.198 0.000
0.000 0.000 6.198
Li Sb Rh
4 4 8
Cartesian
0.000 0.000 0.000
0.000 3.099 3.099
3.099 0.000 3.099
3.099 3.099 0.000
0.000 0.000 3.099
0.000 3.099 0.000
3.099 0.000 0.000
3.099 3.099 3.099
1.549 1.549 1.549
1.549 1.549 4.648
1.549 4.648 1.549
1.549 4.648 4.648
4.648 1.549 1.549
4.648 1.549 4.648
4.648 4.648 1.549
4.648 4.648 4.648
```

=====

No. 5
Simulated powder X-ray diffraction pattern
Compound: CaAl4Si8O24
Radiation: λ = 1.5418 Å (Cu Kα)
Structure: a cell relaxed with GGA-PBE

Most intense lines, 5° ≤ 2θ ≤ 70°, sorted by position:
d_spacing  2θ/deg  intensity
14.887  5.94  100
4.962  17.87  3
4.521  19.64  3
4.341  20.46  3
4.326  20.53  5
3.865  23.01  5
3.358  26.55  1
2.467  36.41  2

Cell and atoms:
```
CaAl4Si8O24
1.0
5.220 0.000 0.000
0.030 9.084 0.000
2.576 4.462 14.887
Ca Al Si O
1 4 8 24
Cartesian
0.000 0.000 0.000
1.748 6.126 7.451
1.824 9.110 7.456
4.384 10.664 7.451
4.429 4.570 7.448
2.587 7.573 4.770
3.537 9.219 10.136
2.641 1.473 4.770
3.591 3.116 10.132
5.180 3.034 4.771
6.130 4.679 10.132
5.267 6.014 4.771
6.217 7.661 10.134
2.164 8.607 10.787
2.143 3.714 10.612
1.410 2.439 4.313
1.415 6.634 4.110
2.382 7.639 6.384
2.827 4.897 6.533
2.432 9.071 4.104
2.831 10.405 6.382
3.378 9.374 8.520
3.773 10.708 10.789
3.349 5.795 8.370
3.794 3.059 8.519
4.757 4.067 10.798
4.764 8.244 10.583
4.042 6.995 4.310
4.019 2.075 4.108
4.967 3.096 6.385
5.456 9.439 6.544
5.025 4.529 4.121
5.427 5.869 6.386
5.972 4.820 8.520
6.372 6.161 10.797
5.974 10.337 8.360
6.428 7.590 8.519
```

=====

No. 6
Simulated powder X-ray diffraction pattern
Compound: Rb3Cu8Se6
Radiation: λ = 1.5418 Å (Cu Kα)
Structure: a cell relaxed with GGA-PBE

Most intense lines, 5° ≤ 2θ ≤ 70°, sorted by position:
d_spacing  2θ/deg  intensity
7.793  11.36  100
3.299  27.03  41
2.985  29.93  86
2.674  33.51  52
2.453  36.64  45
2.219  40.66  39
2.009  45.13  47
1.829  49.87  80

Cell and atoms:
```
Rb3Cu8Se6
1.0
9.316 -2.009 0.000
9.316 2.009 0.000
-2.831 0.000 9.898
Rb Cu Se
3 8 6
Cartesian
0.000 0.000 0.000
2.636 0.000 3.024
13.166 0.000 6.874
-1.386 0.000 6.346
1.152 0.000 9.128
6.628 0.000 2.166
6.504 0.000 4.650
9.298 0.000 5.248
9.173 0.000 7.731
14.649 0.000 0.770
17.188 0.000 3.552
1.064 0.000 6.423
3.569 0.000 9.695
6.712 0.000 7.009
9.090 0.000 2.889
12.232 0.000 0.202
14.737 0.000 3.475
```

=====

No. 7
Simulated powder X-ray diffraction pattern
Compound: BiOF
Radiation: λ = 1.5418 Å (Cu Kα)
Structure: a cell relaxed with GGA-PBE

Most intense lines, 5° ≤ 2θ ≤ 70°, sorted by position:
d_spacing  2θ/deg  intensity
3.412  26.11  32
3.282  27.17  100
2.869  31.17  44
2.059  43.98  30
2.001  45.33  36
1.726  53.06  28
1.708  53.66  18
1.641  56.06  17

Cell and atoms:
```
BiOF
1.0
2.001 1.155 6.825
-2.001 1.155 6.825
0.000 -2.310 6.825
Bi O F
2 2 2
Cartesian
0.000 0.000 4.895
0.000 0.000 15.580
0.000 0.000 2.622
0.000 0.000 17.853
0.000 0.000 7.731
0.000 0.000 12.744
```

=====

No. 8
Simulated powder X-ray diffraction pattern
Compound: Ca3Si4Sb2O14
Radiation: λ = 1.5418 Å (Cu Kα)
Structure: a cell relaxed with GGA-PBE

Most intense lines, 5° ≤ 2θ ≤ 70°, sorted by position:
d_spacing  2θ/deg  intensity
7.394  11.97  73
7.066  12.53  62
3.697  24.07  35
3.329  26.78  65
3.288  27.12  54
2.961  30.19  65
2.941  30.39  100
2.417  37.21  58

Cell and atoms:
```
Ca3Si4Sb2O14
1.0
9.072 -4.022 0.000
9.072 4.022 0.000
-6.217 0.000 8.748
Ca Si Sb O
6 8 4 28
Cartesian
4.409 2.889 6.561
2.047 0.375 4.660
5.156 -0.375 0.286
6.770 0.375 8.462
9.879 -0.375 4.088
7.517 -2.889 2.187
-1.616 0.976 5.568
0.446 2.223 7.299
1.493 -0.976 1.194
8.371 2.223 5.823
3.555 -2.223 2.925
10.434 0.976 7.554
11.480 -2.223 1.449
13.542 -0.976 3.180
7.517 1.763 2.187
9.072 0.000 0.000
5.963 0.000 4.374
4.409 -1.763 6.561
-3.074 0.356 5.843
-1.088 1.604 7.048
1.282 2.212 5.919
0.035 -0.356 1.469
2.641 0.244 0.860
4.327 1.936 4.391
-0.468 -0.244 5.234
0.969 1.296 8.564
4.491 1.936 8.731
6.128 0.279 2.223
2.021 -1.604 2.674
7.535 2.212 7.203
7.848 1.296 4.558
3.019 -0.279 6.597
8.907 0.279 2.151
4.078 -1.296 4.190
4.391 -2.212 1.545
9.905 1.604 6.074
5.798 -0.279 6.525
7.435 -1.936 0.017
10.957 -1.296 0.184
12.394 0.244 3.514
7.600 -1.936 4.357
9.285 -0.244 7.888
11.891 0.356 7.279
10.644 -2.212 2.829
13.014 -1.604 1.700
15.000 -0.356 2.905
```